Record 1
Starting from a structure optimized by DFT (GGA+U), the X-ray diffraction stick pattern of Ce4V6O19 was computed for Cu Kα, 1.54184 Å.
No peak broadening, texture or thermal motion is included.

The 10 most intense peaks (2θ = 5–70°), low angle first:
two_theta	d_spacing	I (rel.)
24.94	3.570	100
32.38	2.765	50
35.57	2.524	15
38.53	2.337	25
43.93	2.061	71
51.18	1.785	20
53.43	1.715	17
57.75	1.596	21
61.88	1.500	10
63.88	1.457	25

Structure:
Lattice parameters (Å, degrees): 7.572 7.572 7.572 109.47 109.47 109.47
Fractional positions:
Ce (0.000, 0.000, 0.675)
Ce (0.000, 0.675, 0.000)
Ce (0.325, 0.325, 0.325)
Ce (0.675, 0.000, 0.000)
V (0.162, 0.662, 0.500)
V (0.338, 0.500, 0.838)
V (0.500, 0.162, 0.662)
V (0.500, 0.838, 0.338)
V (0.662, 0.500, 0.162)
V (0.838, 0.338, 0.500)
O (0.000, 0.000, 0.000)
O (0.000, 0.346, 0.346)
O (0.000, 0.654, 0.654)
O (0.020, 0.353, 0.752)
O (0.248, 0.601, 0.269)
O (0.269, 0.248, 0.601)
O (0.333, 0.980, 0.731)
O (0.346, 0.000, 0.346)
O (0.346, 0.346, 0.000)
O (0.353, 0.752, 0.020)
O (0.399, 0.647, 0.667)
O (0.601, 0.269, 0.248)
O (0.647, 0.667, 0.399)
O (0.654, 0.000, 0.654)
O (0.654, 0.654, 0.000)
O (0.667, 0.399, 0.647)
O (0.731, 0.333, 0.980)
O (0.752, 0.020, 0.353)
O (0.980, 0.731, 0.333)



Record 2
Starting from a structure optimized by DFT (GGA+U), the X-ray diffraction stick pattern of CeW2O8 was computed for Cu Kα, 1.54184 Å.
No peak broadening, texture or thermal motion is included.

The 10 most intense peaks (2θ = 5–70°), low angle first:
two_theta	d_spacing	I (rel.)
18.35	4.835	28
20.54	4.325	100
22.52	3.948	82
26.06	3.419	30
29.20	3.058	17
30.66	2.916	44
33.41	2.682	25
34.71	2.585	35
45.97	1.974	23
48.94	1.861	36

Structure:
Lattice parameters (Å, degrees): 9.671 9.671 9.671 90.00 90.00 90.00
Fractional positions:
Ce (0.248, 0.252, 0.748)
Ce (0.252, 0.748, 0.248)
Ce (0.748, 0.248, 0.252)
Ce (0.752, 0.752, 0.752)
W (0.098, 0.098, 0.098)
W (0.156, 0.656, 0.844)
W (0.344, 0.344, 0.344)
W (0.402, 0.902, 0.598)
W (0.598, 0.402, 0.902)
W (0.656, 0.844, 0.156)
W (0.844, 0.156, 0.656)
W (0.902, 0.598, 0.402)
O (0.006, 0.494, 0.506)
O (0.026, 0.195, 0.688)
O (0.037, 0.698, 0.308)
O (0.188, 0.474, 0.805)
O (0.192, 0.963, 0.198)
O (0.195, 0.688, 0.026)
O (0.198, 0.192, 0.963)
O (0.238, 0.238, 0.238)
O (0.262, 0.762, 0.738)
O (0.302, 0.808, 0.463)
O (0.305, 0.312, 0.526)
O (0.308, 0.037, 0.698)
O (0.312, 0.526, 0.305)
O (0.463, 0.302, 0.808)
O (0.474, 0.805, 0.188)
O (0.494, 0.506, 0.006)
O (0.506, 0.006, 0.494)
O (0.526, 0.305, 0.312)
O (0.537, 0.802, 0.692)
O (0.688, 0.026, 0.195)
O (0.692, 0.537, 0.802)
O (0.695, 0.812, 0.974)
O (0.698, 0.308, 0.037)
O (0.738, 0.262, 0.762)
O (0.762, 0.738, 0.262)
O (0.802, 0.692, 0.537)
O (0.805, 0.188, 0.474)
O (0.808, 0.463, 0.302)
O (0.812, 0.974, 0.695)
O (0.963, 0.198, 0.192)
O (0.974, 0.695, 0.812)
O (0.994, 0.994, 0.994)



Record 3
Starting from a structure optimized by DFT (GGA+U), the X-ray diffraction stick pattern of Ce4WO10 was computed for Cu Kα, 1.54184 Å.
No peak broadening, texture or thermal motion is included.

The 8 most intense peaks (2θ = 5–70°), low angle first:
two_theta	d_spacing	I (rel.)
14.71	6.021	1
19.50	4.553	1
28.71	3.110	100
33.27	2.693	30
47.76	1.904	53
56.68	1.624	45
59.45	1.555	9
69.85	1.347	8

Structure:
Lattice parameters (Å, degrees): 6.596 6.596 6.596 99.60 99.60 131.79
Fractional positions:
Ce (0.101, 0.702, 0.803)
Ce (0.298, 0.101, 0.398)
Ce (0.702, 0.899, 0.602)
Ce (0.899, 0.298, 0.197)
W (0.500, 0.500, 0.000)
O (0.069, 0.358, 0.907)
O (0.162, 0.069, 0.711)
O (0.250, 0.750, 0.500)
O (0.358, 0.452, 0.289)
O (0.452, 0.162, 0.093)
O (0.548, 0.838, 0.907)
O (0.642, 0.548, 0.711)
O (0.750, 0.250, 0.500)
O (0.838, 0.931, 0.289)
O (0.931, 0.642, 0.093)



Record 4
Starting from a structure optimized by DFT (GGA+U), the X-ray diffraction stick pattern of CeW2O8 was computed for Cu Kα, 1.54184 Å.
No peak broadening, texture or thermal motion is included.

The 10 most intense peaks (2θ = 5–70°), low angle first:
two_theta	d_spacing	I (rel.)
13.73	6.450	40
17.35	5.112	26
21.38	4.156	21
24.52	3.630	45
26.60	3.351	56
27.65	3.226	100
31.32	2.856	36
35.93	2.499	17
42.32	2.136	18
45.14	2.009	28

Structure:
Lattice parameters (Å, degrees): 7.346 7.346 7.939 116.25 116.25 68.91
Fractional positions:
Ce (0.037, 0.963, 0.750)
Ce (0.963, 0.037, 0.250)
W (0.060, 0.508, 0.230)
W (0.492, 0.940, 0.270)
W (0.508, 0.060, 0.730)
W (0.940, 0.492, 0.770)
O (0.013, 0.677, 0.060)
O (0.018, 0.780, 0.414)
O (0.053, 0.640, 0.718)
O (0.220, 0.982, 0.086)
O (0.323, 0.987, 0.440)
O (0.325, 0.413, 0.322)
O (0.360, 0.947, 0.782)
O (0.413, 0.325, 0.822)
O (0.587, 0.675, 0.178)
O (0.640, 0.053, 0.218)
O (0.675, 0.587, 0.678)
O (0.677, 0.013, 0.560)
O (0.780, 0.018, 0.914)
O (0.947, 0.360, 0.282)
O (0.982, 0.220, 0.586)
O (0.987, 0.323, 0.940)